Diffraction record for La3Pr3In. The powder X-ray diffraction pattern is calculated, not measured: it uses a crystal structure in Alexandria, relaxed with GGA-PBE and a wavelength of 1.5418 Å.
No peak broadening, texture or thermal motion is included.

Peak list (10 most intense, 10° ≤ 2θ ≤ 80°, by angle)
2θ (°)	Rel. int.
28.08	24
30.63	26
32.07	100
42.03	16
49.69	18
55.36	21
59.51	21
60.38	15
67.07	4
77.57	7

Structure:
```
data_La3Pr3In
_cell_length_a 9.7083
_cell_length_b 9.7083
_cell_length_c 5.8375
_cell_angle_alpha 90.00
_cell_angle_beta 90.00
_cell_angle_gamma 120.00
_space_group_name_H-M_alt 'P 63/m'
_space_group_IT_number 176
_space_group_name_Hall '-P 6c'
loop_
_atom_site_label
_atom_site_type_symbol
_atom_site_fract_x
_atom_site_fract_y
_atom_site_fract_z
La1 La 0.1107 0.4826 0.2500
Pr1 Pr 0.0646 0.2465 0.7500
In1 In 0.3333 0.6667 0.7500
```


Diffraction record for Pm2TmIr2. The powder X-ray diffraction pattern is calculated, not measured: it uses a crystal structure in Alexandria, relaxed with GGA-PBE and a wavelength of 1.5418 Å.
No peak broadening, texture or thermal motion is included.

Peak list (10 most intense, 10° ≤ 2θ ≤ 80°, by angle)
2θ (°)	Rel. int.
20.00	10
36.62	26
36.76	100
37.10	25
53.11	18
65.99	18
66.05	9
66.30	9
66.65	18
78.19	11

Structure:
```
data_Pm2TmIr2
_cell_length_a 4.908
_cell_length_b 4.847
_cell_length_c 10.400
_cell_angle_alpha 90.00
_cell_angle_beta 90.06
_cell_angle_gamma 90.00
_space_group_name_H-M_alt 'P 1 21/m 1'
_space_group_IT_number 11
loop_
_space_group_symop_operation_xyz
'x,y,z'
'-x,-y,-z'
'-x,y+1/2,-z'
'x,-y+1/2,z'
loop_
_atom_site_label
_atom_site_type_symbol
_atom_site_fract_x
_atom_site_fract_y
_atom_site_fract_z
Pm1 Pm 0.250 0.250 0.004
Pm2 Pm 0.250 0.250 0.670
Tm1 Tm 0.250 0.250 0.342
Ir1 Ir 0.249 0.750 0.165
Ir2 Ir 0.250 0.750 0.505
```


Diffraction record for CaAlGa2S6. The powder X-ray diffraction pattern is calculated, not measured: it uses a crystal structure in Alexandria, relaxed with GGA-PBE and a wavelength of 1.5418 Å.
No peak broadening, texture or thermal motion is included.

Peak list (10 most intense, 10° ≤ 2θ ≤ 80°, by angle)
2θ (°)	Rel. int.
14.29	30
19.95	100
21.26	48
24.63	50
26.35	20
31.60	38
32.08	31
42.76	21
50.10	20
51.32	20

Structure:
```
data_CaAlGa2S6
_cell_length_a 12.626
_cell_length_b 12.395
_cell_length_c 7.140
_cell_angle_alpha 90.00
_cell_angle_beta 116.13
_cell_angle_gamma 90.00
_space_group_name_H-M_alt 'C 1 2/c 1'
_space_group_IT_number 15
loop_
_space_group_symop_operation_xyz
'x,y,z'
'-x,-y,-z'
'-x,y,-z+1/2'
'x,-y,z+1/2'
'x+1/2,y+1/2,z'
'-x+1/2,-y+1/2,-z'
'-x+1/2,y+1/2,-z+1/2'
'x+1/2,-y+1/2,z+1/2'
loop_
_atom_site_label
_atom_site_type_symbol
_atom_site_fract_x
_atom_site_fract_y
_atom_site_fract_z
Ca1 Ca 0.000 0.124 0.250
Al1 Al 0.000 0.180 0.750
Ga1 Ga 0.180 0.420 0.140
S1 S 0.114 0.443 0.401
S2 S 0.118 0.063 0.675
S3 S 0.119 0.246 0.066
```